Record 1
The following is a computed X-ray powder pattern of Ce3HoAl8. It was derived from a PBE-relaxed structure, using Cu Ka.
Neutral-atom scattering factors, no anomalous dispersion.

Main lines, in order of falling intensity (2θ = 10–90°):
2θ/deg, I_rel, hkl
35.0, 1000, 1 0 3
31.9, 734, 1 1 0
37.7, 531, 1 1 2
58.8, 428, 2 1 3
20.7, 417, 0 1 1
18.3, 382, 1 0 0
38.3, 366, 2 0 1
77.6, 197, 1 3 3
48.1, 175, 0 2 3
66.7, 162, 2 2 0

Atomic structure:
```
12
Lattice="5.6126 0.0000 0.0000 -2.8063 4.8606 0.0000 0.0000 0.0000 9.0579" Properties=species:S:1:pos:R:3 pbc="T T T"
Ce 0.0000 0.0000 0.0000
Ce 0.0000 0.0000 2.9856
Ce 0.0000 3.2404 7.6845
Ho 0.0000 3.2404 4.3953
Al -1.3623 2.4539 1.5063
Al 1.3629 0.7869 6.0010
Al 1.3623 2.4539 1.5063
Al 0.0000 4.8134 1.5063
Al 2.8063 1.6202 3.7459
Al 2.8063 1.6202 8.2700
Al 4.2496 0.7869 6.0010
Al 2.8063 3.2869 6.0010
```


Record 2
The following is a computed X-ray powder pattern of PrSb2Se4. It was derived from a PBE-relaxed structure, using Cu Ka.
Neutral-atom scattering factors, no anomalous dispersion.

Main lines, in order of falling intensity (2θ = 10–90°):
2θ/deg, I_rel, hkl
28.4, 1000, 2 1 1
44.0, 747, 1 3 2
32.9, 694, 2 2 0
16.3, 345, 1 1 0
76.3, 226, 3 5 2
50.3, 221, 1 4 1
47.3, 198, 0 0 4
61.4, 179, 1 4 3
58.8, 160, 2 2 4
23.1, 151, 0 0 2

Atomic structure:
```
14
Lattice="7.6987 0.0000 0.0000 0.0000 7.6987 0.0000 0.0000 0.0000 7.6835" Properties=species:S:1:pos:R:3 pbc="T T T"
Pr 0.0000 0.0000 0.0000
Pr 3.8493 3.8493 3.8418
Sb 0.0000 3.8493 1.9209
Sb 0.0000 3.8493 5.7627
Sb 3.8493 0.0000 1.9209
Sb 3.8493 0.0000 5.7627
Se 1.3699 2.2693 3.8418
Se 1.5800 5.2192 0.0000
Se 2.2693 6.3288 3.8418
Se 2.4795 1.5800 0.0000
Se 5.2192 6.1187 0.0000
Se 5.4293 1.3699 3.8418
Se 6.1187 2.4795 0.0000
Se 6.3288 5.4293 3.8418
```